# 1
Theoretical X-ray powder pattern
Compound: Pr4FeI5
Radiation: Cu Kα (weighted mean of Kα1 and Kα2)
Structure: the PBE geometry in OQMD
Kinematic intensities with the Lorentz-polarization factor, no thermal factor.

Cell and atoms:
```
data_Pr4FeI5
_chemical_formula_sum 'Pr8 Fe2 I10'
_cell_length_a 4.273
_cell_length_b 18.948
_cell_length_c 9.442
_cell_angle_alpha 90.00
_cell_angle_beta 90.00
_cell_angle_gamma 90.00
_symmetry_space_group_name_H-M 'P m m n'
_symmetry_Int_Tables_number 59
loop_
_symmetry_equiv_pos_as_xyz
'x,y,z'
'-x,-y,-z'
'-x+1/2,-y+1/2,z'
'x+1/2,y+1/2,-z'
'x+1/2,-y,-z'
'-x+1/2,y,z'
'-x,y+1/2,-z'
'x,-y+1/2,z'
loop_
_atom_site_label
_atom_site_type_symbol
_atom_site_fract_x
_atom_site_fract_y
_atom_site_fract_z
Pr1 Pr 0.250 0.117 0.129
Pr2 Pr 0.250 0.750 0.088
Pr3 Pr 0.250 0.750 0.656
Fe1 Fe 0.250 0.250 0.126
I1 I 0.250 0.250 0.629
I2 I 0.250 0.579 0.125
I3 I 0.250 0.581 0.622
```

Top 10 peaks for 10° ≤ 2θ ≤ 90°, by intensity:
28.19 deg, d 3.165, rel. 100
40.33 deg, d 2.237, rel. 39
38.12 deg, d 2.361, rel. 14
48.14 deg, d 1.890, rel. 13
42.30 deg, d 2.136, rel. 13
30.24 deg, d 2.955, rel. 11
31.56 deg, d 2.835, rel. 10
51.66 deg, d 1.770, rel. 10
58.24 deg, d 1.584, rel. 9
29.71 deg, d 3.007, rel. 9

***

# 2
Theoretical X-ray powder pattern
Compound: LiZn4Cu2Au
Radiation: Cu Kα (weighted mean of Kα1 and Kα2)
Structure: the PBE geometry in OQMD
Kinematic intensities with the Lorentz-polarization factor, no thermal factor.

Cell and atoms:
```
data_LiZn4Cu2Au
_chemical_formula_sum 'Li1 Zn4 Cu2 Au1'
_cell_length_a 4.396
_cell_length_b 5.532
_cell_length_c 4.632
_cell_angle_alpha 90.00
_cell_angle_beta 90.00
_cell_angle_gamma 90.00
_symmetry_space_group_name_H-M 'P m m 2'
_symmetry_Int_Tables_number 25
loop_
_symmetry_equiv_pos_as_xyz
'x,y,z'
'-x,-y,z'
'-x,y,z'
'x,-y,z'
loop_
_atom_site_label
_atom_site_type_symbol
_atom_site_fract_x
_atom_site_fract_y
_atom_site_fract_z
Li1 Li 0.000 0.000 0.000
Zn1 Zn 0.000 0.243 0.496
Zn2 Zn 0.500 0.242 0.849
Cu1 Cu 0.000 0.500 0.973
Cu2 Cu 0.500 0.000 0.350
Au1 Au 0.500 0.500 0.337
```

Top 10 peaks for 10° ≤ 2θ ≤ 90°, by intensity:
43.31 deg, d 2.089, rel. 100
44.20 deg, d 2.049, rel. 38
41.07 deg, d 2.198, rel. 36
16.02 deg, d 5.532, rel. 29
32.41 deg, d 2.763, rel. 25
37.89 deg, d 2.375, rel. 24
20.20 deg, d 4.396, rel. 20
38.88 deg, d 2.316, rel. 18
76.38 deg, d 1.247, rel. 18
19.16 deg, d 4.632, rel. 16

***

# 3
Theoretical X-ray powder pattern
Compound: NdAl8Co2
Radiation: Cu Kα (weighted mean of Kα1 and Kα2)
Structure: the PBE geometry in OQMD
Kinematic intensities with the Lorentz-polarization factor, no thermal factor.

Cell and atoms:
```
data_NdAl8Co2
_chemical_formula_sum 'Nd4 Al32 Co8'
_cell_length_a 12.458
_cell_length_b 14.357
_cell_length_c 3.997
_cell_angle_alpha 90.00
_cell_angle_beta 90.00
_cell_angle_gamma 90.00
_symmetry_space_group_name_H-M 'P b a m'
_symmetry_Int_Tables_number 55
loop_
_symmetry_equiv_pos_as_xyz
'x,y,z'
'-x,-y,-z'
'-x,-y,z'
'x,y,-z'
'x+1/2,-y+1/2,-z'
'-x+1/2,y+1/2,z'
'-x+1/2,y+1/2,-z'
'x+1/2,-y+1/2,z'
loop_
_atom_site_label
_atom_site_type_symbol
_atom_site_fract_x
_atom_site_fract_y
_atom_site_fract_z
Nd1 Nd 0.160 0.181 0.000
Al1 Al 0.000 0.000 0.000
Al2 Al 0.000 0.500 0.500
Al3 Al 0.026 0.869 0.500
Al4 Al 0.047 0.320 0.500
Al5 Al 0.096 0.747 0.000
Al6 Al 0.159 0.455 0.000
Al7 Al 0.159 0.621 0.500
Al8 Al 0.170 0.008 0.500
Al9 Al 0.236 0.827 0.500
Co1 Co 0.034 0.595 0.000
Co2 Co 0.152 0.904 0.000
```

Top 10 peaks for 10° ≤ 2θ ≤ 90°, by intensity:
36.41 deg, d 2.468, rel. 100
22.26 deg, d 3.993, rel. 98
34.34 deg, d 2.611, rel. 87
45.38 deg, d 1.999, rel. 52
37.13 deg, d 2.422, rel. 40
46.62 deg, d 1.948, rel. 40
44.25 deg, d 2.047, rel. 38
25.83 deg, d 3.449, rel. 32
28.46 deg, d 3.137, rel. 31
52.24 deg, d 1.751, rel. 25

***

# 4
Theoretical X-ray powder pattern
Compound: HoLuSnC
Radiation: Cu Kα (weighted mean of Kα1 and Kα2)
Structure: the PBE geometry in OQMD
Kinematic intensities with the Lorentz-polarization factor, no thermal factor.

Cell and atoms:
```
data_HoLuSnC
_chemical_formula_sum 'Ho2 Lu2 Sn2 C2'
_cell_length_a 3.5659
_cell_length_b 3.5659
_cell_length_c 15.6102
_cell_angle_alpha 90.00
_cell_angle_beta 90.00
_cell_angle_gamma 120.00
_symmetry_space_group_name_H-M 'P 63 m c'
_symmetry_Int_Tables_number 186
_symmetry_space_group_name_Hall 'P 6c -2c'
loop_
_atom_site_label
_atom_site_type_symbol
_atom_site_fract_x
_atom_site_fract_y
_atom_site_fract_z
Ho1 Ho 0.3333 0.6667 0.0000
Lu1 Lu 0.3333 0.6667 0.3320
Sn1 Sn 0.3333 0.6667 0.6676
C1 C 0.0000 0.0000 0.4143
```

Top 10 peaks for 10° ≤ 2θ ≤ 90°, by intensity:
33.75 deg, d 2.656, rel. 100
28.91 deg, d 3.088, rel. 22
51.24 deg, d 1.783, rel. 22
63.23 deg, d 1.471, rel. 21
34.47 deg, d 2.602, rel. 20
61.30 deg, d 1.512, rel. 18
62.77 deg, d 1.480, rel. 17
45.59 deg, d 1.990, rel. 16
85.20 deg, d 1.139, rel. 15
83.90 deg, d 1.153, rel. 8

***

# 5
Theoretical X-ray powder pattern
Compound: TmNbN2O
Radiation: Cu Kα (weighted mean of Kα1 and Kα2)
Structure: the PBE geometry in OQMD
Kinematic intensities with the Lorentz-polarization factor, no thermal factor.

Cell and atoms:
```
data_TmNbN2O
_chemical_formula_sum 'Tm8 Nb8 N16 O8'
_cell_length_a 7.854
_cell_length_b 7.882
_cell_length_c 7.896
_cell_angle_alpha 89.94
_cell_angle_beta 87.11
_cell_angle_gamma 89.82
_symmetry_space_group_name_H-M 'P 1'
_symmetry_Int_Tables_number 1
loop_
_symmetry_equiv_pos_as_xyz
'x,y,z'
loop_
_atom_site_label
_atom_site_type_symbol
_atom_site_fract_x
_atom_site_fract_y
_atom_site_fract_z
Tm1 Tm 0.000 0.000 0.000
Tm2 Tm 0.019 0.993 0.472
Tm3 Tm 0.427 0.497 0.930
Tm4 Tm 0.450 0.501 0.421
Tm5 Tm 0.511 0.998 0.488
Tm6 Tm 0.532 0.004 0.975
Tm7 Tm 0.941 0.503 0.433
Tm8 Tm 0.962 0.500 0.910
Nb1 Nb 0.214 0.243 0.713
Nb2 Nb 0.232 0.236 0.218
Nb3 Nb 0.233 0.766 0.715
Nb4 Nb 0.247 0.763 0.200
Nb5 Nb 0.719 0.743 0.719
Nb6 Nb 0.723 0.731 0.203
Nb7 Nb 0.736 0.256 0.709
Nb8 Nb 0.741 0.258 0.210
N1 N 0.145 0.997 0.740
N2 N 0.175 0.683 0.954
N3 N 0.181 0.311 0.949
N4 N 0.274 0.001 0.126
N5 N 0.279 0.802 0.451
N6 N 0.292 0.189 0.449
N7 N 0.478 0.812 0.755
N8 N 0.482 0.685 0.145
N9 N 0.669 0.305 0.449
N10 N 0.681 0.695 0.447
N11 N 0.688 0.497 0.774
N12 N 0.777 0.184 0.946
N13 N 0.787 0.817 0.945
N14 N 0.815 0.500 0.163
N15 N 0.980 0.187 0.255
N16 N 0.982 0.311 0.645
O1 O 0.191 0.499 0.291
O2 O 0.319 0.493 0.668
O3 O 0.479 0.319 0.143
O4 O 0.481 0.173 0.752
O5 O 0.643 0.003 0.235
O6 O 0.770 0.997 0.609
O7 O 0.979 0.823 0.252
O8 O 0.983 0.678 0.646
```

Top 10 peaks for 10° ≤ 2θ ≤ 90°, by intensity:
32.12 deg, d 2.786, rel. 100
32.25 deg, d 2.776, rel. 33
33.02 deg, d 2.713, rel. 31
46.05 deg, d 1.971, rel. 28
31.35 deg, d 2.853, rel. 26
57.83 deg, d 1.594, rel. 14
58.34 deg, d 1.582, rel. 14
25.29 deg, d 3.522, rel. 14
33.40 deg, d 2.683, rel. 13
76.41 deg, d 1.247, rel. 10

***

# 6
Theoretical X-ray powder pattern
Compound: Gd3MgNi6
Radiation: Cu Kα (weighted mean of Kα1 and Kα2)
Structure: the PBE geometry in OQMD
Kinematic intensities with the Lorentz-polarization factor, no thermal factor.

Cell and atoms:
```
data_Gd3MgNi6
_chemical_formula_sum 'Gd6 Mg2 Ni12'
_cell_length_a 6.373
_cell_length_b 6.373
_cell_length_c 10.067
_cell_angle_alpha 90.00
_cell_angle_beta 90.00
_cell_angle_gamma 90.00
_symmetry_space_group_name_H-M 'I 4/m m m'
_symmetry_Int_Tables_number 139
_symmetry_space_group_name_Hall '-I 4 2'
loop_
_atom_site_label
_atom_site_type_symbol
_atom_site_fract_x
_atom_site_fract_y
_atom_site_fract_z
Gd1 Gd 0.000 0.000 0.000
Gd2 Gd 0.000 0.500 0.250
Mg1 Mg 0.000 0.000 0.500
Ni1 Ni 0.000 0.000 0.263
Ni2 Ni 0.000 0.334 0.500
```

Top 10 peaks for 10° ≤ 2θ ≤ 90°, by intensity:
28.00 deg, d 3.186, rel. 100
45.95 deg, d 1.975, rel. 50
35.67 deg, d 2.517, rel. 43
32.65 deg, d 2.742, rel. 35
48.67 deg, d 1.871, rel. 34
26.55 deg, d 3.357, rel. 25
41.57 deg, d 2.172, rel. 24
40.02 deg, d 2.253, rel. 20
44.03 deg, d 2.057, rel. 18
69.88 deg, d 1.346, rel. 18

***

# 7
Theoretical X-ray powder pattern
Compound: Zr3Si
Radiation: Cu Kα (weighted mean of Kα1 and Kα2)
Structure: the PBE geometry in OQMD
Kinematic intensities with the Lorentz-polarization factor, no thermal factor.

Cell and atoms:
```
data_Zr3Si
_chemical_formula_sum 'Zr24 Si8'
_cell_length_a 11.029
_cell_length_b 11.029
_cell_length_c 5.439
_cell_angle_alpha 90.00
_cell_angle_beta 90.00
_cell_angle_gamma 90.00
_symmetry_space_group_name_H-M 'P 42/n'
_symmetry_Int_Tables_number 86
loop_
_symmetry_equiv_pos_as_xyz
'x,y,z'
'-x,-y,-z'
'-y,x+1/2,z+1/2'
'y,-x+1/2,-z+1/2'
'-x+1/2,-y+1/2,z'
'x+1/2,y+1/2,-z'
'y+1/2,-x,z+1/2'
'-y+1/2,x,-z+1/2'
loop_
_atom_site_label
_atom_site_type_symbol
_atom_site_fract_x
_atom_site_fract_y
_atom_site_fract_z
Zr1 Zr 0.034 0.930 0.241
Zr2 Zr 0.112 0.277 0.028
Zr3 Zr 0.142 0.832 0.718
Si1 Si 0.045 0.292 0.537
```

Top 10 peaks for 10° ≤ 2θ ≤ 90°, by intensity:
33.61 deg, d 2.666, rel. 100
37.47 deg, d 2.400, rel. 77
34.94 deg, d 2.568, rel. 57
36.43 deg, d 2.466, rel. 41
30.45 deg, d 2.936, rel. 38
34.50 deg, d 2.600, rel. 34
59.25 deg, d 1.560, rel. 29
42.14 deg, d 2.145, rel. 24
61.84 deg, d 1.500, rel. 21
40.44 deg, d 2.231, rel. 20

***

# 8
Theoretical X-ray powder pattern
Compound: Cu2Ag3
Radiation: Cu Kα (weighted mean of Kα1 and Kα2)
Structure: the PBE geometry in OQMD
Kinematic intensities with the Lorentz-polarization factor, no thermal factor.

Cell and atoms:
```
data_Cu2Ag3
_chemical_formula_sum 'Cu8 Ag12'
_cell_length_a 22.847
_cell_length_b 2.865
_cell_length_c 4.799
_cell_angle_alpha 90.00
_cell_angle_beta 95.66
_cell_angle_gamma 90.00
_symmetry_space_group_name_H-M 'C 1 m 1'
_symmetry_Int_Tables_number 8
loop_
_symmetry_equiv_pos_as_xyz
'x,y,z'
'x,-y,z'
'x+1/2,y+1/2,z'
'x+1/2,-y+1/2,z'
loop_
_atom_site_label
_atom_site_type_symbol
_atom_site_fract_x
_atom_site_fract_y
_atom_site_fract_z
Cu1 Cu 0.000 0.000 0.000
Cu2 Cu 0.094 0.500 0.191
Cu3 Cu 0.301 0.500 0.594
Cu4 Cu 0.399 0.500 0.295
Ag1 Ag 0.095 0.000 0.701
Ag2 Ag 0.198 0.000 0.395
Ag3 Ag 0.199 0.500 0.896
Ag4 Ag 0.303 0.000 0.107
Ag5 Ag 0.400 0.000 0.795
Ag6 Ag 0.495 0.000 0.476
```

Top 10 peaks for 10° ≤ 2θ ≤ 90°, by intensity:
39.11 deg, d 2.303, rel. 100
45.13 deg, d 2.009, rel. 65
39.47 deg, d 2.283, rel. 49
39.64 deg, d 2.274, rel. 47
46.94 deg, d 1.936, rel. 28
67.03 deg, d 1.396, rel. 18
67.27 deg, d 1.392, rel. 17
78.88 deg, d 1.214, rel. 12
78.99 deg, d 1.212, rel. 11
79.68 deg, d 1.203, rel. 11